Calculated powder diffraction line list
Compound: CaHg2F8
Radiation: Cu Kα X-rays
Structure: a PBE-relaxed structure
Peak positions follow from Bragg's law for the DFT cell and can differ from measured ones.

Structure:
a = 5.709 Å, b = 5.709 Å, c = 11.033 Å
α = 90.00°, β = 90.00°, γ = 90.00°
Space group I422 (No. 97)
Asymmetric unit:
Ca 0.000 0.000 0.000 (multiplicity 2)
Hg 0.000 0.500 0.250 (multiplicity 4)
F 0.181 0.291 0.876 (multiplicity 16)

Principal peaks in the range 5 to 70 degrees two-theta, sorted by position:
- 16.07°, rel. 54, (0 0 2)
- 22.02°, rel. 60, (1 1 0)
- 27.38°, rel. 100, (1 1 2)
- 31.34°, rel. 18, (2 0 0)
- 35.41°, rel. 34, (2 0 2)
- 39.57°, rel. 23, (1 1 4)
- 44.91°, rel. 19, (2 2 0)
- 45.74°, rel. 40, (2 0 4)
- 53.40°, rel. 32, (3 1 2)
- 61.37°, rel. 17, (3 1 4)

Calculated powder diffraction line list
Compound: CaHg4F12
Radiation: Cu Kα X-rays
Structure: a PBE-relaxed structure
Peak positions follow from Bragg's law for the DFT cell and can differ from measured ones.

Structure:
a = 8.745 Å, b = 8.745 Å, c = 8.356 Å
α = 90.00°, β = 90.00°, γ = 90.00°
Space group I4/mmm (No. 139)
Asymmetric unit:
Ca 0.000 0.000 0.000 (multiplicity 2)
Hg 0.250 0.250 0.250 (multiplicity 8)
F 0.000 0.222 0.172 (multiplicity 16)
F 0.201 0.201 0.500 (multiplicity 8)

Principal peaks in the range 5 to 70 degrees two-theta, sorted by position:
- 20.31°, rel. 100, (2 0 0)
- 21.27°, rel. 39, (0 0 2)
- 28.88°, rel. 35, (2 2 0)
- 29.57°, rel. 72, (2 0 2)
- 36.14°, rel. 28, (2 2 2)
- 41.30°, rel. 25, (4 0 0)
- 46.44°, rel. 23, (4 2 0)
- 46.91°, rel. 23, (4 0 2)
- 48.28°, rel. 22, (2 0 4)
- 51.61°, rel. 36, (4 2 2)

Calculated powder diffraction line list
Compound: Ca2InHgF
Radiation: Cu Kα X-rays
Structure: a PBE-relaxed structure
Peak positions follow from Bragg's law for the DFT cell and can differ from measured ones.

Structure:
a = 5.934 Å, b = 5.934 Å, c = 4.852 Å
α = 90.00°, β = 90.00°, γ = 90.00°
Space group P4/mmm (No. 123)
Asymmetric unit:
Ca 0.000 0.500 0.000 (multiplicity 2)
In 0.000 0.000 0.500 (multiplicity 1)
Hg 0.500 0.500 0.000 (multiplicity 1)
F 0.500 0.500 0.500 (multiplicity 1)

Principal peaks in the range 5 to 70 degrees two-theta, sorted by position:
- 21.17°, rel. 46, (1 1 0)
- 23.69°, rel. 100, (1 0 1)
- 30.12°, rel. 56, (2 0 0)
- 38.67°, rel. 58, (2 1 1)
- 43.10°, rel. 36, (2 2 0)
- 48.48°, rel. 40, (2 0 2)
- 58.13°, rel. 17, (2 2 2)
- 59.26°, rel. 25, (3 2 1)
- 62.59°, rel. 17, (4 0 0)
- 67.90°, rel. 23, (4 1 1)

Calculated powder diffraction line list
Compound: Li2CaHgF6
Radiation: Cu Kα X-rays
Structure: a PBE-relaxed structure
Peak positions follow from Bragg's law for the DFT cell and can differ from measured ones.

Structure:
a = 5.453 Å, b = 5.498 Å, c = 5.563 Å
α = 119.30°, β = 119.16°, γ = 90.33°
Space group P1 (No. 1)
Asymmetric unit:
Li 0.000 0.000 0.000 (multiplicity 1)
Li 0.488 0.489 0.976 (multiplicity 1)
Ca 0.772 0.220 0.488 (multiplicity 1)
Hg 0.222 0.722 0.488 (multiplicity 1)
F 0.155 0.667 0.851 (multiplicity 1)
F 0.181 0.174 0.856 (multiplicity 1)
F 0.367 0.281 0.488 (multiplicity 1)
F 0.618 0.797 0.489 (multiplicity 1)
F 0.794 0.307 0.127 (multiplicity 1)
F 0.811 0.808 0.120 (multiplicity 1)

Principal peaks in the range 5 to 70 degrees two-theta, sorted by position:
- 19.57°, rel. 96, (0 1 0)
- 19.68°, rel. 100, (1 0 0)
- 22.15°, rel. 74, (0 0 1)
- 22.91°, rel. 59, (1 -1 0)
- 23.04°, rel. 58, (1 1 -1)
- 32.10°, rel. 95, (1 -1 1)
- 38.44°, rel. 36, (2 -1 0)
- 39.69°, rel. 33, (0 2 0)
- 39.80°, rel. 33, (0 2 -2)
- 39.98°, rel. 52, (2 0 0)

What did the first record say?
Calculated powder diffraction line list
Compound: CaHg2F8
Radiation: Cu Kα X-rays
Structure: a PBE-relaxed structure
Peak positions follow from Bragg's law for the DFT cell and can differ from measured ones.

Structure:
a = 5.709 Å, b = 5.709 Å, c = 11.033 Å
α = 90.00°, β = 90.00°, γ = 90.00°
Space group I422 (No. 97)
Asymmetric unit:
Ca 0.000 0.000 0.000 (multiplicity 2)
Hg 0.000 0.500 0.250 (multiplicity 4)
F 0.181 0.291 0.876 (multiplicity 16)

Principal peaks in the range 5 to 70 degrees two-theta, sorted by position:
- 16.07°, rel. 54, (0 0 2)
- 22.02°, rel. 60, (1 1 0)
- 27.38°, rel. 100, (1 1 2)
- 31.34°, rel. 18, (2 0 0)
- 35.41°, rel. 34, (2 0 2)
- 39.57°, rel. 23, (1 1 4)
- 44.91°, rel. 19, (2 2 0)
- 45.74°, rel. 40, (2 0 4)
- 53.40°, rel. 32, (3 1 2)
- 61.37°, rel. 17, (3 1 4)